# 1
Computed powder XRD pattern
Compound: Tm2Ni17
Radiation: CuKα
Structure: a crystal structure in OQMD, relaxed with GGA-PBE

Cell and atoms:
a b c (Å): 8.2201 8.2201 7.9746
angles (deg): 90.00 90.00 120.00
Space group P6_3/mmc (No. 194)
Inequivalent atoms, fractional coordinates:
Tm 0.0000 0.0000 0.2500 [2 per cell]
Tm 0.3333 0.6667 0.2500 [2 per cell]
Ni 0.0000 0.5000 0.0000 [6 per cell]
Ni 0.0414 0.3690 0.7500 [12 per cell]
Ni 0.1652 0.3304 0.0215 [12 per cell]
Ni 0.3333 0.6667 0.6010 [4 per cell]

Principal peaks in the range 2θ = 5–70°, low angle first:
31.25°, 2.862 Å, I = 37
37.92°, 2.373 Å, I = 42
42.44°, 2.130 Å, I = 39
44.07°, 2.055 Å, I = 61
44.43°, 2.039 Å, I = 100
45.50°, 1.994 Å, I = 31
48.12°, 1.891 Å, I = 15
49.93°, 1.827 Å, I = 19
64.36°, 1.447 Å, I = 15
65.20°, 1.431 Å, I = 17

# 2
Computed powder XRD pattern
Compound: CdSiAsP
Radiation: CuKα
Structure: a crystal structure in OQMD, relaxed with GGA-PBE

Cell and atoms:
a b c (Å): 5.7998 5.8805 10.7906
angles (deg): 90.00 90.00 90.00
Space group I2_12_12_1 (No. 24)
Inequivalent atoms, fractional coordinates:
Cd 0.0000 0.2500 0.1173 [4 per cell]
Si 0.0000 0.2500 0.6202 [4 per cell]
As 0.2123 0.5000 0.7500 [4 per cell]
P 0.2500 0.0484 0.5000 [4 per cell]

Principal peaks in the range 2θ = 5–70°, low angle first:
17.17°, 5.164 Å, I = 13
27.19°, 3.279 Å, I = 100
35.20°, 2.549 Å, I = 12
35.50°, 2.528 Å, I = 10
43.85°, 2.065 Å, I = 24
45.64°, 1.988 Å, I = 22
45.95°, 1.975 Å, I = 21
52.09°, 1.756 Å, I = 15
52.64°, 1.739 Å, I = 13
55.75°, 1.649 Å, I = 12

# 3
Computed powder XRD pattern
Compound: PrSbN2O
Radiation: CuKα
Structure: a crystal structure in OQMD, relaxed with GGA-PBE

Cell and atoms:
a b c (Å): 8.1560 5.7333 5.7020
angles (deg): 90.00 90.00 90.00
Space group Ima2 (No. 46)
Inequivalent atoms, fractional coordinates:
Pr 0.2500 0.0187 0.0000 [4 per cell]
Sb 0.0000 0.0000 0.5015 [4 per cell]
N 0.0555 0.2490 0.2507 [8 per cell]
O 0.2500 0.5924 0.0060 [4 per cell]

Principal peaks in the range 2θ = 5–70°, low angle first:
31.16°, 2.870 Å, I = 100
31.38°, 2.851 Å, I = 21
44.43°, 2.039 Å, I = 10
44.84°, 2.021 Å, I = 20
55.29°, 1.662 Å, I = 9
55.46°, 1.657 Å, I = 26
55.71°, 1.650 Å, I = 16
64.96°, 1.436 Å, I = 11
65.08°, 1.433 Å, I = 3
65.48°, 1.425 Å, I = 3

# 4
Computed powder XRD pattern
Compound: Nb9As7Pd
Radiation: CuKα
Structure: a crystal structure in OQMD, relaxed with GGA-PBE

Cell and atoms:
a b c (Å): 16.7604 16.7604 3.5969
angles (deg): 90.00 90.00 120.00
Space group P-6 (No. 174)
Inequivalent atoms, fractional coordinates:
Nb 0.0071 0.3106 0.0000 [3 per cell]
Nb 0.0156 0.4657 0.5000 [3 per cell]
Nb 0.0456 0.1330 0.0000 [3 per cell]
Nb 0.1311 0.7788 0.0000 [3 per cell]
Nb 0.2072 0.6709 0.5000 [3 per cell]
Nb 0.2606 0.1719 0.0000 [3 per cell]
Nb 0.3626 0.3409 0.5000 [3 per cell]
Nb 0.4057 0.1621 0.5000 [3 per cell]
Nb 0.5789 0.3788 0.5000 [3 per cell]
As 0.0000 0.0000 0.5000 [1 per cell]
As 0.0440 0.8241 0.5000 [3 per cell]
As 0.0702 0.5973 0.0000 [3 per cell]
As 0.1382 0.3985 0.5000 [3 per cell]
As 0.2182 0.0402 0.5000 [3 per cell]
As 0.3333 0.6667 0.0000 [1 per cell]
As 0.4477 0.2936 0.0000 [3 per cell]
As 0.4902 0.1142 0.0000 [3 per cell]
As 0.6667 0.3333 0.0000 [1 per cell]
Pd 0.1780 0.5166 0.0000 [3 per cell]

Principal peaks in the range 2θ = 5–70°, low angle first:
30.80°, 2.903 Å, I = 10
32.65°, 2.743 Å, I = 16
34.40°, 2.607 Å, I = 26
36.78°, 2.444 Å, I = 43
37.85°, 2.377 Å, I = 100
39.91°, 2.259 Å, I = 41
41.40°, 2.181 Å, I = 33
42.84°, 2.111 Å, I = 24
49.87°, 1.829 Å, I = 30
50.77°, 1.798 Å, I = 29

Q: What is the formula in the fourth record?
A: Nb9As7Pd